(1)
The following is a computed powder XRD pattern of Li2Mn2P3O12. It was derived from a cell relaxed with PBE+U, using Cu Kα (weighted mean of Kα1 and Kα2).

Structural model:
Cell: 8.252 8.318 8.802 Å, 62.90 89.28 60.97°
Space group P-1 (No. 2)
Unique sites:
Li: 0.182 0.396 0.361 x2
Li: 0.238 0.939 0.628 x2
Mn: 0.157 0.692 0.457 x2
Mn: 0.355 0.285 0.067 x2
P: 0.039 0.204 0.247 x2
P: 0.238 0.222 0.742 x2
P: 0.464 0.505 0.248 x2
O: 0.016 0.009 0.314 x2
O: 0.017 0.309 0.697 x2
O: 0.034 0.253 0.406 x2
O: 0.117 0.607 0.918 x2
O: 0.246 0.141 0.235 x2
O: 0.275 0.384 0.586 x2
O: 0.291 0.201 0.918 x2
O: 0.329 0.661 0.307 x2
O: 0.335 0.679 0.611 x2
O: 0.358 0.011 0.747 x2
O: 0.382 0.376 0.238 x2
O: 0.484 0.636 0.069 x2

Most intense lines, 2θ from 5° to 70°, most intense first:
d [Å]	I/Imax	hkl
3.591	100	-1 1 2
6.239	92	0 1 0
2.757	91	2 1 -2
5.973	86	1 0 -1
4.544	82	1 0 1
4.441	78	1 1 -1
4.376	70	0 1 2
3.747	66	1 -1 0
3.682	62	1 2 0
2.986	61	2 0 -2

---

(2)
The following is a computed powder XRD pattern of Li2MnP2O8. It was derived from a cell relaxed with PBE+U, using Cu Kα (weighted mean of Kα1 and Kα2).

Structural model:
Cell: 4.822 8.165 8.832 Å, 115.68 104.16 90.05°
Space group P-1 (No. 2)
Unique sites:
Li: 0.114 0.409 0.182 x2
Li: 0.366 0.093 0.898 x2
Mn: 0.275 0.264 0.539 x2
P: 0.134 0.820 0.264 x2
P: 0.317 0.699 0.690 x2
O: 0.012 0.316 0.686 x2
O: 0.015 0.232 0.927 x2
O: 0.020 0.339 0.378 x2
O: 0.090 0.019 0.379 x2
O: 0.393 0.839 0.879 x2
O: 0.445 0.519 0.682 x2
O: 0.445 0.776 0.586 x2
O: 0.463 0.795 0.287 x2

Most intense lines, 2θ from 5° to 70°, most intense first:
d [Å]	I/Imax	hkl
7.659	100	0 0 1
3.580	40	1 1 -2
3.652	38	0 2 0
3.668	27	1 -1 1
2.835	20	1 -1 2
2.410	10	2 0 -1
2.368	8	1 3 -2
2.751	8	1 1 -3
3.052	5	1 -2 1
1.382	5	3 3 -3

---

(3)
The following is a computed powder XRD pattern of Li2MnPO5. It was derived from a cell relaxed with PBE+U, using Cu Kα (weighted mean of Kα1 and Kα2).

Structural model:
Cell: 7.810 7.748 7.114 Å, 90.00 116.77 90.00°
Space group C2/c (No. 15)
Unique sites:
Li: 0.173 0.225 0.254 x8
Mn: 0.000 0.500 0.000 x4
P: 0.000 0.127 0.750 x4
O: 0.000 0.409 0.250 x4
O: 0.020 0.246 0.582 x8
O: 0.180 0.014 0.850 x8

Most intense lines, 2θ from 5° to 70°, most intense first:
d [Å]	I/Imax	hkl
3.233	100	1 1 -2
3.486	89	2 0 0
5.183	34	1 1 0
3.307	27	0 2 1
1.653	26	2 4 -2
3.874	23	0 2 0
2.226	23	3 1 0
2.422	21	1 3 0
4.899	18	1 1 -1
1.743	17	4 0 0